Record 1
For CeZnGa, a cell relaxed with PBE gives the simulated X-ray powder pattern in this record (λ = 1.5418 Å (Cu Kα)).
No peak broadening, texture or thermal motion is included.

Cell and atoms:
a b c (Å): 4.492 4.492 7.474
angles (deg): 90.00 90.00 120.00
Fractional coordinates of all 6 atoms:
1 Ce 0.000 0.000 0.000
2 Ce 0.000 0.000 0.500
3 Zn 0.333 0.667 0.250
4 Zn 0.667 0.333 0.750
5 Ga 0.333 0.667 0.750
6 Ga 0.667 0.333 0.250

Main lines, most intense first (2θ = 5–70°):
two_theta, I/Imax
33.25, 100
40.15, 54
53.08, 26
64.92, 25
68.59, 24
22.86, 13
48.74, 10
54.48, 3
46.70, 2
63.25, 2


Record 2
For CeZn2Ga2, a cell relaxed with PBE gives the simulated X-ray powder pattern in this record (λ = 1.5418 Å (Cu Kα)).
No peak broadening, texture or thermal motion is included.

Cell and atoms:
a b c (Å): 4.292 4.292 10.481
angles (deg): 90.00 90.00 90.00
Fractional coordinates of all 10 atoms:
1 Ce 0.000 0.000 0.000
2 Ce 0.500 0.500 0.500
3 Zn 0.000 0.000 0.385
4 Zn 0.000 0.000 0.615
5 Zn 0.500 0.500 0.115
6 Zn 0.500 0.500 0.885
7 Ga 0.000 0.500 0.250
8 Ga 0.000 0.500 0.750
9 Ga 0.500 0.000 0.250
10 Ga 0.500 0.000 0.750

Main lines, most intense first (2θ = 5–70°):
two_theta, I/Imax
34.14, 100
33.06, 53
42.11, 52
48.32, 27
54.55, 25
65.99, 20
61.06, 17
29.43, 14
61.22, 10
45.75, 9


Record 3
For CeGd3, a cell relaxed with PBE gives the simulated X-ray powder pattern in this record (λ = 1.5418 Å (Cu Kα)).
No peak broadening, texture or thermal motion is included.

Cell and atoms:
a b c (Å): 5.030 5.030 5.030
angles (deg): 90.00 90.00 90.00
Fractional coordinates of all 4 atoms:
1 Ce 0.000 0.000 0.000
2 Gd 0.000 0.500 0.500
3 Gd 0.500 0.000 0.500
4 Gd 0.500 0.500 0.000

Main lines, most intense first (2θ = 5–70°):
two_theta, I/Imax
30.79, 100
35.70, 51
61.11, 43
51.38, 36
64.14, 12


Record 4
For Ce8Gd2O19, a cell relaxed with PBE gives the simulated X-ray powder pattern in this record (λ = 1.5418 Å (Cu Kα)).
No peak broadening, texture or thermal motion is included.

Cell and atoms:
a b c (Å): 3.861 3.861 27.341
angles (deg): 90.00 90.00 90.00
Fractional coordinates of all 29 atoms:
1 Ce 0.000 0.500 0.050
2 Ce 0.000 0.500 0.250
3 Ce 0.000 0.500 0.650
4 Ce 0.000 0.500 0.850
5 Ce 0.500 0.000 0.150
6 Ce 0.500 0.000 0.350
7 Ce 0.500 0.000 0.750
8 Ce 0.500 0.000 0.950
9 Gd 0.000 0.500 0.444
10 Gd 0.500 0.000 0.556
11 O 0.000 0.000 0.000
12 O 0.000 0.000 0.100
13 O 0.000 0.000 0.200
14 O 0.000 0.000 0.301
15 O 0.000 0.000 0.405
16 O 0.000 0.000 0.595
17 O 0.000 0.000 0.699
18 O 0.000 0.000 0.800
19 O 0.000 0.000 0.900
20 O 0.500 0.500 0.000
21 O 0.500 0.500 0.100
22 O 0.500 0.500 0.200
23 O 0.500 0.500 0.298
24 O 0.500 0.500 0.396
25 O 0.500 0.500 0.500
26 O 0.500 0.500 0.604
27 O 0.500 0.500 0.702
28 O 0.500 0.500 0.800
29 O 0.500 0.500 0.900

Main lines, most intense first (2θ = 5–70°):
two_theta, I/Imax
28.29, 100
47.05, 53
55.81, 44
32.79, 30
58.53, 8
68.76, 5
68.66, 2


Record 5
For Ce4GdO9, a cell relaxed with PBE gives the simulated X-ray powder pattern in this record (λ = 1.5418 Å (Cu Kα)).
No peak broadening, texture or thermal motion is included.

Cell and atoms:
a b c (Å): 3.815 5.535 10.368
angles (deg): 74.55 79.42 89.97
Fractional coordinates of all 14 atoms:
1 Ce 0.000 0.000 0.000
2 Ce 0.189 0.187 0.611
3 Ce 0.589 0.586 0.816
4 Ce 0.785 0.788 0.426
5 Gd 0.393 0.333 0.213
6 O 0.085 0.838 0.820
7 O 0.094 0.342 0.809
8 O 0.286 0.029 0.422
9 O 0.308 0.557 0.379
10 O 0.479 0.719 0.043
11 O 0.498 0.234 0.004
12 O 0.687 0.934 0.618
13 O 0.694 0.441 0.606
14 O 0.893 0.115 0.213

Main lines, most intense first (2θ = 5–70°):
two_theta, I/Imax
27.87, 100
28.42, 97
46.69, 65
32.74, 42
56.14, 30
55.20, 28
32.35, 19
47.68, 17
46.27, 17
55.00, 13


Record 6
For CeGe, a cell relaxed with PBE gives the simulated X-ray powder pattern in this record (λ = 1.5418 Å (Cu Kα)).
No peak broadening, texture or thermal motion is included.

Cell and atoms:
a b c (Å): 8.207 4.071 5.934
angles (deg): 90.00 90.00 90.00
Fractional coordinates of all 8 atoms:
1 Ce 0.182 0.250 0.120
2 Ce 0.318 0.750 0.620
3 Ce 0.682 0.250 0.380
4 Ce 0.818 0.750 0.880
5 Ge 0.039 0.250 0.640
6 Ge 0.461 0.750 0.140
7 Ge 0.539 0.250 0.860
8 Ge 0.961 0.750 0.360

Main lines, most intense first (2θ = 5–70°):
two_theta, I/Imax
30.94, 100
34.52, 98
32.08, 95
39.14, 90
28.73, 79
36.16, 59
44.51, 43
55.91, 39
46.85, 32
58.63, 29


Record 7
For Ce3Ge, a cell relaxed with PBE gives the simulated X-ray powder pattern in this record (λ = 1.5418 Å (Cu Kα)).
No peak broadening, texture or thermal motion is included.

Cell and atoms:
a b c (Å): 11.968 11.968 5.936
angles (deg): 90.00 90.00 90.00
Fractional coordinates of all 32 atoms:
1 Ce 0.032 0.576 0.233
2 Ce 0.076 0.968 0.733
3 Ce 0.111 0.218 0.480
4 Ce 0.138 0.669 0.775
5 Ce 0.169 0.862 0.275
6 Ce 0.218 0.389 0.020
7 Ce 0.282 0.111 0.020
8 Ce 0.331 0.638 0.275
9 Ce 0.362 0.831 0.775
10 Ce 0.389 0.282 0.480
11 Ce 0.424 0.532 0.733
12 Ce 0.468 0.924 0.233
13 Ce 0.532 0.076 0.767
14 Ce 0.576 0.468 0.267
15 Ce 0.611 0.718 0.520
16 Ce 0.638 0.169 0.225
17 Ce 0.669 0.362 0.725
18 Ce 0.718 0.889 0.980
19 Ce 0.782 0.611 0.980
20 Ce 0.831 0.138 0.725
21 Ce 0.862 0.331 0.225
22 Ce 0.889 0.782 0.520
23 Ce 0.924 0.032 0.267
24 Ce 0.968 0.424 0.767
25 Ge 0.046 0.200 0.972
26 Ge 0.200 0.454 0.528
27 Ge 0.300 0.046 0.528
28 Ge 0.454 0.300 0.972
29 Ge 0.546 0.700 0.028
30 Ge 0.700 0.954 0.472
31 Ge 0.800 0.546 0.472
32 Ge 0.954 0.800 0.028

Main lines, most intense first (2θ = 5–70°):
two_theta, I/Imax
30.87, 100
34.39, 82
33.50, 74
31.96, 68
38.55, 45
31.72, 37
38.35, 29
37.00, 26
27.96, 23
54.35, 20


Record 8
For Ce4Ge7, a cell relaxed with PBE gives the simulated X-ray powder pattern in this record (λ = 1.5418 Å (Cu Kα)).
No peak broadening, texture or thermal motion is included.

Cell and atoms:
a b c (Å): 7.702 7.702 11.904
angles (deg): 90.00 90.00 134.53
Fractional coordinates of all 22 atoms:
1 Ce 0.006 0.994 0.750
2 Ce 0.016 0.506 0.120
3 Ce 0.491 0.491 0.500
4 Ce 0.494 0.984 0.380
5 Ce 0.506 0.016 0.880
6 Ce 0.509 0.509 0.000
7 Ce 0.984 0.494 0.620
8 Ce 0.994 0.006 0.250
9 Ge 0.073 0.896 0.490
10 Ge 0.079 0.427 0.372
11 Ge 0.104 0.927 0.010
12 Ge 0.175 0.469 0.839
13 Ge 0.427 0.079 0.628
14 Ge 0.439 0.561 0.250
15 Ge 0.469 0.175 0.161
16 Ge 0.531 0.825 0.661
17 Ge 0.561 0.439 0.750
18 Ge 0.573 0.921 0.128
19 Ge 0.825 0.531 0.339
20 Ge 0.896 0.073 0.510
21 Ge 0.921 0.573 0.872
22 Ge 0.927 0.104 0.990

Main lines, most intense first (2θ = 5–70°):
two_theta, I/Imax
32.62, 100
38.21, 48
28.37, 41
42.98, 36
58.85, 21
49.88, 19
62.40, 9
52.30, 9
67.90, 9
67.92, 8


Record 9
For Ce4Ge7, a cell relaxed with PBE gives the simulated X-ray powder pattern in this record (λ = 1.5418 Å (Cu Kα)).
No peak broadening, texture or thermal motion is included.

Cell and atoms:
a b c (Å): 4.091 4.204 15.036
angles (deg): 90.00 90.00 90.00
Fractional coordinates of all 11 atoms:
1 Ce 0.000 0.000 0.000
2 Ce 0.000 0.500 0.251
3 Ce 0.500 0.000 0.752
4 Ce 0.500 0.500 0.497
5 Ge 0.000 0.000 0.411
6 Ge 0.000 0.000 0.580
7 Ge 0.000 0.500 0.668
8 Ge 0.000 0.500 0.836
9 Ge 0.500 0.000 0.307
10 Ge 0.500 0.500 0.098
11 Ge 0.500 0.500 0.932

Main lines, most intense first (2θ = 5–70°):
two_theta, I/Imax
32.79, 100
37.10, 28
43.04, 22
36.75, 20
27.70, 19
44.28, 18
58.10, 15
47.54, 13
63.46, 12
28.16, 12


Number 1 is which compound?
CeZnGa